Computed XRD peak list
Compound: CuSnSbO6
Radiation: Cu Ka
Structure: a crystal structure in Alexandria, relaxed with GGA-PBE
No peak broadening, texture or thermal motion is included.

Principal peaks in the range 10° ≤ 2θ ≤ 90°, in order of rising 2θ:
26.72 deg, intensity 100; 34.23 deg, intensity 76; 38.15 deg, intensity 21; 52.18 deg, intensity 67; 55.05 deg, intensity 17; 62.23 deg, intensity 14; 65.54 deg, intensity 16; 66.44 deg, intensity 21

Atomic structure:
Cell: 4.7179 4.7179 9.4506 Å, 90.00 90.00 90.00°
Fractional coordinates of all 18 atoms:
Cu1 0.0000 0.0000 0.0000
Cu2 0.5000 0.5000 0.5000
Sn1 0.0000 0.0000 0.6678
Sn2 0.5000 0.5000 0.1678
Sb1 0.0000 0.0000 0.3332
Sb2 0.5000 0.5000 0.8332
O1 0.1878 0.1878 0.1678
O2 0.1956 0.1956 0.4955
O3 0.1967 0.1967 0.8366
O4 0.3033 0.6967 0.3366
O5 0.3044 0.6956 0.9955
O6 0.3122 0.6878 0.6678
O7 0.6878 0.3122 0.6678
O8 0.6956 0.3044 0.9955
O9 0.6967 0.3033 0.3366
O10 0.8033 0.8033 0.8366
O11 0.8044 0.8044 0.4955
O12 0.8122 0.8122 0.1678